(1)
Simulated powder diffraction line list of TbSm3Ga for Cu Kα, 1.54184 Å, from a crystal structure in Alexandria, relaxed with PBE.

Top 10 peaks for 5 to 70 degrees two-theta, by intensity:
| 2θ (°) | d/Å | I_rel |
| --- | --- | --- |
| 30.16 | 2.963 | 100.0 |
| 31.58 | 2.833 | 62.4 |
| 37.38 | 2.406 | 38.6 |
| 27.66 | 3.225 | 37.1 |
| 35.93 | 2.500 | 31.1 |
| 51.45 | 1.776 | 24.0 |
| 50.33 | 1.813 | 19.4 |
| 24.63 | 3.614 | 18.0 |
| 39.53 | 2.280 | 15.6 |
| 19.47 | 4.560 | 15.5 |

Structure:
a = 7.534 Å, b = 7.534 Å, c = 7.797 Å
α = 121.13°, β = 121.13°, γ = 74.43°
Fractional positions:
Tb 0.062 0.062 0.359
Tb 0.938 0.938 0.641
Sm 0.040 0.419 0.195
Sm 0.419 0.040 0.195
Sm 0.442 0.442 0.719
Sm 0.558 0.558 0.281
Sm 0.581 0.960 0.805
Sm 0.960 0.581 0.805
Ga 0.247 0.247 0.873
Ga 0.753 0.753 0.127

***

(2)
Simulated powder diffraction line list of MnTl4Cr3Se8 for Cu Kα, 1.54184 Å, from a crystal structure in Alexandria, relaxed with PBE.

Top 10 peaks for 5 to 70 degrees two-theta, by intensity:
| 2θ (°) | d/Å | I_rel |
| --- | --- | --- |
| 31.33 | 2.855 | 100.0 |
| 33.56 | 2.670 | 35.7 |
| 47.63 | 1.909 | 35.4 |
| 42.03 | 2.150 | 29.2 |
| 27.25 | 3.272 | 26.6 |
| 58.12 | 1.587 | 16.9 |
| 60.92 | 1.521 | 15.6 |
| 35.71 | 2.515 | 14.2 |
| 48.76 | 1.868 | 11.4 |
| 23.59 | 3.772 | 10.7 |

Structure:
a = 7.630 Å, b = 7.639 Å, c = 8.736 Å
α = 64.09°, β = 64.14°, γ = 60.07°
Fractional positions:
Mn 0.000 0.000 0.000
Tl 0.000 0.000 0.500
Tl 0.000 0.500 0.500
Tl 0.500 0.000 0.500
Tl 0.500 0.500 0.500
Cr 0.000 0.500 0.000
Cr 0.500 0.000 0.000
Cr 0.500 0.500 0.000
Se 0.227 0.228 0.821
Se 0.227 0.724 0.821
Se 0.276 0.274 0.177
Se 0.277 0.772 0.179
Se 0.723 0.228 0.821
Se 0.724 0.726 0.823
Se 0.773 0.276 0.179
Se 0.773 0.772 0.179

***

(3)
Simulated powder diffraction line list of Sr2Mg for Cu Kα, 1.54184 Å, from a crystal structure in Alexandria, relaxed with PBE.

Top 10 peaks for 5 to 70 degrees two-theta, by intensity:
| 2θ (°) | d/Å | I_rel |
| --- | --- | --- |
| 29.43 | 3.035 | 100.0 |
| 25.72 | 3.464 | 29.2 |
| 28.36 | 3.147 | 23.8 |
| 54.35 | 1.688 | 22.2 |
| 50.88 | 1.795 | 21.2 |
| 38.65 | 2.329 | 19.7 |
| 45.34 | 2.000 | 19.2 |
| 54.98 | 1.670 | 16.5 |
| 14.07 | 6.295 | 11.5 |
| 17.51 | 5.064 | 7.0 |

Structure:
a = 7.458 Å, b = 7.458 Å, c = 7.458 Å
α = 55.35°, β = 55.35°, γ = 55.35°
Fractional positions:
Sr 0.000 0.000 0.000
Sr 0.176 0.500 0.824
Sr 0.500 0.824 0.176
Sr 0.824 0.176 0.500
Mg 0.334 0.334 0.334
Mg 0.666 0.666 0.666

***

(4)
Simulated powder diffraction line list of Ce4HPb2 for Cu Kα, 1.54184 Å, from a crystal structure in Alexandria, relaxed with PBE.

Top 10 peaks for 5 to 70 degrees two-theta, by intensity:
| 2θ (°) | d/Å | I_rel |
| --- | --- | --- |
| 31.66 | 2.826 | 100.0 |
| 33.70 | 2.659 | 18.0 |
| 36.90 | 2.436 | 17.7 |
| 39.36 | 2.289 | 14.8 |
| 63.23 | 1.471 | 14.0 |
| 66.57 | 1.405 | 12.0 |
| 52.75 | 1.735 | 11.4 |
| 50.84 | 1.796 | 11.4 |
| 55.05 | 1.668 | 11.3 |
| 59.00 | 1.566 | 10.7 |

Structure:
a = 8.341 Å, b = 8.341 Å, c = 4.578 Å
α = 90.00°, β = 90.00°, γ = 146.04°
Fractional positions:
Ce 0.000 0.000 0.000
Ce 0.181 0.819 0.500
Ce 0.500 0.500 0.500
Ce 0.819 0.181 0.500
H 0.000 0.000 0.500
Pb 0.349 0.651 0.000
Pb 0.651 0.349 0.000

***

(5)
Simulated powder diffraction line list of Er2CuTe for Cu Kα, 1.54184 Å, from a crystal structure in Alexandria, relaxed with PBE.

Top 10 peaks for 5 to 70 degrees two-theta, by intensity:
| 2θ (°) | d/Å | I_rel |
| --- | --- | --- |
| 32.78 | 2.732 | 100.0 |
| 43.51 | 2.080 | 55.8 |
| 30.10 | 2.969 | 38.3 |
| 25.08 | 3.550 | 27.6 |
| 39.11 | 2.303 | 24.2 |
| 55.53 | 1.655 | 22.2 |
| 26.16 | 3.407 | 21.1 |
| 50.36 | 1.812 | 16.4 |
| 59.59 | 1.551 | 12.9 |
| 53.82 | 1.703 | 7.7 |

Structure:
a = 7.389 Å, b = 7.389 Å, c = 7.389 Å
α = 32.70°, β = 32.70°, γ = 32.70°
Fractional positions:
Er 0.000 0.000 0.000
Er 0.193 0.193 0.193
Cu 0.595 0.595 0.595
Te 0.429 0.429 0.429

***

(6)
Simulated powder diffraction line list of LiNp2P3Ir4 for Cu Kα, 1.54184 Å, from a crystal structure in Alexandria, relaxed with PBE.

Top 10 peaks for 5 to 70 degrees two-theta, by intensity:
| 2θ (°) | d/Å | I_rel |
| --- | --- | --- |
| 36.53 | 2.460 | 100.0 |
| 46.11 | 1.969 | 45.2 |
| 34.26 | 2.617 | 44.6 |
| 33.29 | 2.691 | 35.7 |
| 49.14 | 1.854 | 34.5 |
| 25.43 | 3.503 | 28.7 |
| 58.66 | 1.574 | 26.5 |
| 69.66 | 1.350 | 24.7 |
| 8.41 | 10.508 | 17.9 |
| 32.15 | 2.784 | 16.7 |

Structure:
a = 3.937 Å, b = 3.937 Å, c = 10.508 Å
α = 90.00°, β = 90.00°, γ = 90.00°
Fractional positions:
Li 0.000 0.000 0.000
Np 0.000 0.500 0.753
Np 0.500 0.000 0.247
P 0.000 0.500 0.369
P 0.500 0.000 0.631
P 0.500 0.500 0.000
Ir 0.000 0.000 0.500
Ir 0.000 0.500 0.151
Ir 0.500 0.000 0.849
Ir 0.500 0.500 0.500

***

(7)
Simulated powder diffraction line list of Ce2Au3 for Cu Kα, 1.54184 Å, from a crystal structure in Alexandria, relaxed with PBE.

Top 10 peaks for 5 to 70 degrees two-theta, by intensity:
| 2θ (°) | d/Å | I_rel |
| --- | --- | --- |
| 32.66 | 2.742 | 100.0 |
| 34.99 | 2.565 | 81.1 |
| 41.28 | 2.187 | 49.0 |
| 50.31 | 1.814 | 47.1 |
| 21.21 | 4.188 | 38.3 |
| 67.04 | 1.396 | 28.8 |
| 62.75 | 1.481 | 14.8 |
| 55.19 | 1.664 | 14.2 |
| 61.28 | 1.513 | 11.5 |
| 27.49 | 3.244 | 7.9 |

Structure:
a = 8.884 Å, b = 8.884 Å, c = 8.884 Å
α = 109.47°, β = 109.47°, γ = 109.47°
Fractional positions:
Ce 0.000 0.424 0.500
Ce 0.000 0.924 0.500
Ce 0.076 0.076 0.076
Ce 0.424 0.500 0.000
Ce 0.500 0.000 0.424
Ce 0.500 0.000 0.924
Ce 0.576 0.576 0.576
Ce 0.924 0.500 0.000
Au 0.013 0.263 0.750
Au 0.237 0.250 0.487
Au 0.250 0.487 0.237
Au 0.250 0.763 0.513
Au 0.263 0.750 0.013
Au 0.487 0.237 0.250
Au 0.513 0.250 0.763
Au 0.737 0.987 0.750
Au 0.750 0.013 0.263
Au 0.750 0.737 0.987
Au 0.763 0.513 0.250
Au 0.987 0.750 0.737

***

(8)
Simulated powder diffraction line list of Ca3Pa3SbN8 for Cu Kα, 1.54184 Å, from a crystal structure in Alexandria, relaxed with PBE.

Top 10 peaks for 5 to 70 degrees two-theta, by intensity:
| 2θ (°) | d/Å | I_rel |
| --- | --- | --- |
| 15.73 | 5.633 | 100.0 |
| 36.12 | 2.487 | 86.2 |
| 30.94 | 2.890 | 82.3 |
| 29.52 | 3.026 | 60.3 |
| 51.46 | 1.776 | 30.9 |
| 52.56 | 1.741 | 27.5 |
| 31.77 | 2.816 | 26.7 |
| 54.15 | 1.694 | 26.1 |
| 61.76 | 1.502 | 25.7 |
| 39.62 | 2.275 | 25.3 |

Structure:
a = 6.967 Å, b = 6.967 Å, c = 6.967 Å
α = 61.30°, β = 61.30°, γ = 61.30°
Fractional positions:
Ca 0.000 0.500 0.500
Ca 0.500 0.000 0.500
Ca 0.500 0.500 0.000
Pa 0.000 0.000 0.500
Pa 0.000 0.500 0.000
Pa 0.500 0.000 0.000
Sb 0.500 0.500 0.500
N 0.217 0.740 0.740
N 0.243 0.243 0.243
N 0.260 0.260 0.783
N 0.260 0.783 0.260
N 0.740 0.217 0.740
N 0.740 0.740 0.217
N 0.757 0.757 0.757
N 0.783 0.260 0.260

***

(9)
Simulated powder diffraction line list of Rb2CdP2 for Cu Kα, 1.54184 Å, from a crystal structure in Alexandria, relaxed with PBE.

Top 10 peaks for 5 to 70 degrees two-theta, by intensity:
| 2θ (°) | d/Å | I_rel |
| --- | --- | --- |
| 28.18 | 3.167 | 100.0 |
| 30.05 | 2.974 | 32.7 |
| 29.24 | 3.054 | 32.7 |
| 32.78 | 2.732 | 21.1 |
| 38.66 | 2.329 | 15.8 |
| 49.20 | 1.852 | 14.8 |
| 57.92 | 1.592 | 14.0 |
| 48.81 | 1.866 | 13.8 |
| 24.03 | 3.704 | 12.8 |
| 43.18 | 2.095 | 12.6 |

Structure:
a = 8.639 Å, b = 8.639 Å, c = 4.658 Å
α = 90.00°, β = 90.00°, γ = 90.00°
Fractional positions:
Rb 0.199 0.301 0.000
Rb 0.301 0.801 0.000
Rb 0.699 0.199 0.000
Rb 0.801 0.699 0.000
Cd 0.000 0.000 0.500
Cd 0.500 0.500 0.500
P 0.084 0.584 0.500
P 0.416 0.084 0.500
P 0.584 0.916 0.500
P 0.916 0.416 0.500

***

(10)
Simulated powder diffraction line list of Cs3Cu2IBr9 for Cu Kα, 1.54184 Å, from a crystal structure in Alexandria, relaxed with PBE.

Top 10 peaks for 5 to 70 degrees two-theta, by intensity:
| 2θ (°) | d/Å | I_rel |
| --- | --- | --- |
| 32.65 | 2.742 | 100.0 |
| 28.18 | 3.167 | 75.7 |
| 22.93 | 3.878 | 47.1 |
| 46.90 | 1.937 | 34.1 |
| 46.80 | 1.941 | 32.7 |
| 55.55 | 1.654 | 22.2 |
| 58.32 | 1.582 | 17.1 |
| 40.26 | 2.240 | 14.1 |
| 52.78 | 1.734 | 11.7 |
| 63.50 | 1.465 | 9.8 |

Structure:
a = 7.749 Å, b = 7.749 Å, c = 9.519 Å
α = 90.00°, β = 90.00°, γ = 120.00°
Fractional positions:
Cs 0.000 0.000 0.000
Cs 0.333 0.667 0.677
Cs 0.667 0.333 0.323
Cu 0.333 0.667 0.153
Cu 0.667 0.333 0.847
I 0.000 0.000 0.500
Br 0.000 0.500 0.000
Br 0.181 0.362 0.315
Br 0.181 0.819 0.315
Br 0.362 0.181 0.685
Br 0.500 0.000 0.000
Br 0.500 0.500 0.000
Br 0.638 0.819 0.315
Br 0.819 0.181 0.685
Br 0.819 0.638 0.685

***

(11)
Simulated powder diffraction line list of Pa8As3Se5 for Cu Kα, 1.54184 Å, from a crystal structure in Alexandria, relaxed with PBE.

Top 10 peaks for 5 to 70 degrees two-theta, by intensity:
| 2θ (°) | d/Å | I_rel |
| --- | --- | --- |
| 31.05 | 2.880 | 100.0 |
| 43.64 | 2.074 | 39.8 |
| 45.31 | 2.001 | 35.8 |
| 26.48 | 3.366 | 33.9 |
| 54.52 | 1.683 | 20.9 |
| 64.73 | 1.440 | 12.5 |
| 52.52 | 1.743 | 11.3 |
| 27.76 | 3.214 | 10.1 |
| 57.34 | 1.607 | 6.0 |
| 51.78 | 1.766 | 5.9 |

Structure:
a = 8.016 Å, b = 8.016 Å, c = 8.016 Å
α = 62.33°, β = 62.33°, γ = 62.33°
Fractional positions:
Pa 0.250 0.250 0.250
Pa 0.250 0.749 0.749
Pa 0.251 0.251 0.750
Pa 0.251 0.750 0.251
Pa 0.749 0.250 0.749
Pa 0.749 0.749 0.250
Pa 0.750 0.251 0.251
Pa 0.750 0.750 0.750
As 0.000 0.500 0.500
As 0.500 0.000 0.500
As 0.500 0.500 0.000
Se 0.000 0.000 0.000
Se 0.000 0.000 0.500
Se 0.000 0.500 0.000
Se 0.500 0.000 0.000
Se 0.500 0.500 0.500

***

(12)
Simulated powder diffraction line list of Tb4PmTe5 for Cu Kα, 1.54184 Å, from a crystal structure in Alexandria, relaxed with PBE.

Top 10 peaks for 5 to 70 degrees two-theta, by intensity:
| 2θ (°) | d/Å | I_rel |
| --- | --- | --- |
| 28.76 | 3.105 | 100.0 |
| 41.12 | 2.195 | 75.9 |
| 67.44 | 1.389 | 28.8 |
| 50.95 | 1.792 | 20.3 |
| 59.56 | 1.552 | 12.6 |
| 50.93 | 1.793 | 6.7 |
| 67.52 | 1.387 | 5.7 |
| 24.84 | 3.585 | 2.4 |
| 48.63 | 1.872 | 1.3 |
| 65.53 | 1.424 | 0.6 |

Structure:
a = 7.608 Å, b = 7.608 Å, c = 10.752 Å
α = 118.19°, β = 118.19°, γ = 33.55°
Fractional positions:
Tb 0.099 0.099 0.396
Tb 0.297 0.297 0.200
Tb 0.703 0.703 0.800
Tb 0.901 0.901 0.604
Pm 0.500 0.500 0.000
Te 0.104 0.104 0.897
Te 0.298 0.298 0.695
Te 0.500 0.500 0.500
Te 0.702 0.702 0.305
Te 0.896 0.896 0.103

***

(13)
Simulated powder diffraction line list of CsTcF5 for Cu Kα, 1.54184 Å, from a crystal structure in Alexandria, relaxed with PBE.

Top 10 peaks for 5 to 70 degrees two-theta, by intensity:
| 2θ (°) | d/Å | I_rel |
| --- | --- | --- |
| 26.82 | 3.325 | 100.0 |
| 20.67 | 4.298 | 62.4 |
| 20.89 | 4.252 | 55.7 |
| 40.20 | 2.243 | 26.9 |
| 40.45 | 2.230 | 26.1 |
| 29.55 | 3.023 | 20.8 |
| 42.05 | 2.149 | 15.2 |
| 59.58 | 1.552 | 14.3 |
| 47.40 | 1.918 | 11.4 |
| 50.64 | 1.803 | 11.4 |

Structure:
a = 7.239 Å, b = 7.239 Å, c = 7.239 Å
α = 113.28°, β = 107.16°, γ = 108.05°
Fractional positions:
Cs 0.475 0.225 0.250
Cs 0.525 0.775 0.750
Tc 0.000 0.000 0.500
Tc 0.000 0.500 0.000
F 0.056 0.806 0.250
F 0.225 0.267 0.543
F 0.225 0.682 0.957
F 0.226 0.000 0.726
F 0.226 0.500 0.226
F 0.774 0.000 0.274
F 0.774 0.500 0.774
F 0.775 0.318 0.043
F 0.775 0.733 0.457
F 0.944 0.194 0.750